Structure and computed PXRD pattern of ZnMoO4 (a structure optimized by DFT (GGA+U); Cu Kα X-rays).

abc: 7.082 8.499 9.907
angles: 97.07 106.79 101.83
Fractional coordinates of all 36 atoms:
1 Zn 0.032 0.116 0.287
2 Zn 0.252 0.694 0.910
3 Zn 0.466 0.301 0.515
4 Zn 0.534 0.699 0.485
5 Zn 0.748 0.306 0.090
6 Zn 0.968 0.884 0.713
7 Mo 0.021 0.292 0.626
8 Mo 0.301 0.398 0.161
9 Mo 0.495 0.013 0.243
10 Mo 0.505 0.987 0.757
11 Mo 0.699 0.602 0.839
12 Mo 0.979 0.708 0.374
13 O 0.022 0.121 0.716
14 O 0.049 0.268 0.144
15 O 0.143 0.268 0.486
16 O 0.148 0.478 0.753
17 O 0.236 0.708 0.461
18 O 0.255 0.560 0.071
19 O 0.264 0.867 0.766
20 O 0.339 0.903 0.072
21 O 0.352 0.140 0.319
22 O 0.444 0.290 0.080
23 O 0.445 0.482 0.350
24 O 0.447 0.130 0.646
25 O 0.553 0.870 0.354
26 O 0.555 0.518 0.650
27 O 0.556 0.710 0.920
28 O 0.648 0.860 0.681
29 O 0.661 0.097 0.928
30 O 0.736 0.133 0.234
31 O 0.745 0.440 0.929
32 O 0.764 0.292 0.539
33 O 0.852 0.522 0.247
34 O 0.857 0.732 0.514
35 O 0.951 0.732 0.856
36 O 0.978 0.879 0.284

Largest 8 diffraction maxima, low angle first, 2θ = 15–90°:
2θ (°), I_rel
22.6, 31
23.8, 91
25.7, 51
25.9, 30
26.1, 100
27.2, 27
29.6, 30
51.8, 24

=====

Structure and computed PXRD pattern of ZnMo2O4 (a structure optimized by DFT (GGA+U); Cu Kα X-rays).

abc: 6.313 6.451 15.307
angles: 91.91 90.49 119.29
Fractional coordinates of all 42 atoms:
1 Zn 0.000 0.000 0.000
2 Zn 0.002 0.006 0.373
3 Zn 0.337 0.669 0.710
4 Zn 0.659 0.324 0.044
5 Zn 0.662 0.331 0.286
6 Zn 0.672 0.341 0.668
7 Mo 0.006 0.510 0.498
8 Mo 0.008 0.005 0.620
9 Mo 0.154 0.318 0.164
10 Mo 0.155 0.825 0.162
11 Mo 0.332 0.670 0.330
12 Mo 0.339 0.168 0.830
13 Mo 0.341 0.663 0.952
14 Mo 0.508 0.511 0.498
15 Mo 0.509 0.014 0.499
16 Mo 0.660 0.825 0.162
17 Mo 0.836 0.170 0.829
18 Mo 0.836 0.663 0.832
19 O 0.013 0.511 0.243
20 O 0.151 0.298 0.918
21 O 0.175 0.829 0.420
22 O 0.178 0.858 0.907
23 O 0.182 0.364 0.414
24 O 0.307 0.141 0.086
25 O 0.310 0.635 0.089
26 O 0.347 0.688 0.574
27 O 0.360 0.203 0.573
28 O 0.483 0.973 0.247
29 O 0.490 0.512 0.244
30 O 0.503 0.485 0.753
31 O 0.513 0.026 0.745
32 O 0.653 0.829 0.419
33 O 0.666 0.333 0.422
34 O 0.674 0.341 0.907
35 O 0.692 0.861 0.905
36 O 0.823 0.138 0.084
37 O 0.823 0.640 0.586
38 O 0.832 0.679 0.079
39 O 0.849 0.201 0.574
40 O 0.987 0.487 0.753
41 O 0.990 0.978 0.756
42 O 0.996 0.999 0.239

Largest 8 diffraction maxima, low angle first, 2θ = 15–90°:
2θ (°), I_rel
32.1, 57
33.1, 59
33.3, 100
33.5, 88
34.5, 58
53.9, 51
57.2, 84
58.4, 80

=====

Structure and computed PXRD pattern of ZnMo8O10 (a structure optimized by DFT (GGA+U); Cu Kα X-rays).

abc: 13.703 13.703 13.703
angles: 152.79 152.79 38.86
Fractional coordinates of all 38 atoms:
1 Zn 0.375 0.625 0.750
2 Zn 0.625 0.375 0.250
3 Mo 0.083 0.089 0.507
4 Mo 0.083 0.576 0.993
5 Mo 0.089 0.083 0.007
6 Mo 0.249 0.265 0.516
7 Mo 0.249 0.732 0.984
8 Mo 0.265 0.249 0.016
9 Mo 0.268 0.751 0.516
10 Mo 0.424 0.917 0.507
11 Mo 0.576 0.083 0.493
12 Mo 0.732 0.249 0.484
13 Mo 0.735 0.751 0.984
14 Mo 0.751 0.268 0.016
15 Mo 0.751 0.735 0.484
16 Mo 0.911 0.917 0.993
17 Mo 0.917 0.424 0.007
18 Mo 0.917 0.911 0.493
19 O 0.000 0.500 0.500
20 O 0.133 0.165 0.967
21 O 0.153 0.669 0.484
22 O 0.165 0.133 0.467
23 O 0.165 0.698 0.033
24 O 0.302 0.835 0.467
25 O 0.316 0.331 0.984
26 O 0.331 0.316 0.484
27 O 0.331 0.847 0.016
28 O 0.500 0.000 0.000
29 O 0.500 0.500 0.000
30 O 0.500 0.500 0.500
31 O 0.669 0.153 0.984
32 O 0.669 0.684 0.516
33 O 0.684 0.669 0.016
34 O 0.698 0.165 0.533
35 O 0.835 0.302 0.967
36 O 0.835 0.867 0.533
37 O 0.847 0.331 0.516
38 O 0.867 0.835 0.033

Largest 8 diffraction maxima, low angle first, 2θ = 15–90°:
2θ (°), I_rel
27.8, 38
31.2, 34
34.8, 100
39.5, 68
42.0, 38
57.2, 35
59.0, 52
68.7, 29

=====

Structure and computed PXRD pattern of Zn3Mo2O7 (a structure optimized by DFT (GGA+U); Cu Kα X-rays).

abc: 9.997 9.997 5.323
angles: 90.00 90.00 31.01
Fractional coordinates of all 24 atoms:
1 Zn 0.079 0.511 0.455
2 Zn 0.234 0.766 0.500
3 Zn 0.489 0.921 0.455
4 Zn 0.511 0.079 0.955
5 Zn 0.766 0.234 0.000
6 Zn 0.921 0.489 0.955
7 Mo 0.145 0.649 0.980
8 Mo 0.351 0.855 0.980
9 Mo 0.649 0.145 0.480
10 Mo 0.855 0.351 0.480
11 O 0.045 0.223 0.155
12 O 0.131 0.869 0.879
13 O 0.154 0.436 0.079
14 O 0.223 0.045 0.655
15 O 0.340 0.511 0.303
16 O 0.436 0.154 0.579
17 O 0.489 0.660 0.303
18 O 0.511 0.340 0.803
19 O 0.564 0.846 0.079
20 O 0.660 0.489 0.803
21 O 0.777 0.955 0.155
22 O 0.846 0.564 0.579
23 O 0.869 0.131 0.379
24 O 0.955 0.777 0.655

Largest 8 diffraction maxima, low angle first, 2θ = 15–90°:
2θ (°), I_rel
33.2, 100
33.5, 26
33.7, 26
47.2, 13
48.3, 21
59.2, 22
59.8, 22
59.9, 22

=====

Structure and computed PXRD pattern of ZnMo2O4 (a structure optimized by DFT (GGA+U); Cu Kα X-rays).

abc: 6.200 6.200 6.200
angles: 62.55 62.55 62.55
Fractional coordinates of all 14 atoms:
1 Zn 0.000 0.000 0.000
2 Zn 0.245 0.245 0.245
3 Mo 0.122 0.622 0.622
4 Mo 0.622 0.122 0.622
5 Mo 0.622 0.622 0.122
6 Mo 0.622 0.622 0.622
7 O 0.376 0.376 0.855
8 O 0.376 0.855 0.376
9 O 0.380 0.380 0.380
10 O 0.389 0.866 0.866
11 O 0.855 0.376 0.376
12 O 0.864 0.864 0.864
13 O 0.866 0.389 0.866
14 O 0.866 0.866 0.389

Largest 8 diffraction maxima, low angle first, 2θ = 15–90°:
2θ (°), I_rel
17.0, 34
32.7, 55
33.2, 100
34.1, 52
34.4, 38
40.4, 48
57.2, 49
59.8, 43

=====

Structure and computed PXRD pattern of ZnMoO3 (a structure optimized by DFT (GGA+U); Cu Kα X-rays).

abc: 5.339 7.971 5.314
angles: 90.00 90.00 90.00
Fractional coordinates of all 20 atoms:
1 Zn 0.022 0.250 0.017
2 Zn 0.478 0.750 0.517
3 Zn 0.522 0.250 0.483
4 Zn 0.978 0.750 0.983
5 Mo 0.000 0.000 0.500
6 Mo 0.000 0.500 0.500
7 Mo 0.500 0.000 0.000
8 Mo 0.500 0.500 0.000
9 O 0.098 0.750 0.618
10 O 0.175 0.569 0.164
11 O 0.175 0.931 0.164
12 O 0.325 0.069 0.664
13 O 0.325 0.431 0.664
14 O 0.402 0.250 0.118
15 O 0.598 0.750 0.882
16 O 0.675 0.569 0.336
17 O 0.675 0.931 0.336
18 O 0.825 0.069 0.836
19 O 0.825 0.431 0.836
20 O 0.902 0.250 0.382

Largest 8 diffraction maxima, low angle first, 2θ = 15–90°:
2θ (°), I_rel
32.7, 100
33.6, 23
33.7, 23
45.5, 13
48.3, 21
59.5, 22
59.7, 23
68.6, 13

=====

Structure and computed PXRD pattern of ZnMo2O4 (a structure optimized by DFT (GGA+U); Cu Kα X-rays).

abc: 3.250 7.592 7.770
angles: 81.02 79.88 79.68
Fractional coordinates of all 14 atoms:
1 Zn 0.000 0.000 0.000
2 Zn 0.380 0.154 0.198
3 Mo 0.065 0.898 0.564
4 Mo 0.364 0.264 0.632
5 Mo 0.566 0.580 0.909
6 Mo 0.866 0.582 0.287
7 O 0.147 0.440 0.830
8 O 0.286 0.723 0.366
9 O 0.470 0.439 0.171
10 O 0.534 0.068 0.443
11 O 0.564 0.763 0.700
12 O 0.866 0.400 0.496
13 O 0.893 0.095 0.752
14 O 0.960 0.724 0.025

Largest 8 diffraction maxima, low angle first, 2θ = 15–90°:
2θ (°), I_rel
25.4, 38
27.8, 89
28.1, 54
31.5, 78
32.5, 58
33.5, 100
34.3, 53
35.5, 52

=====

Structure and computed PXRD pattern of ZnMo3O14 (a structure optimized by DFT (GGA+U); Cu Kα X-rays).

abc: 9.509 9.509 9.509
angles: 157.06 124.26 61.07
Fractional coordinates of all 18 atoms:
1 Zn 0.000 0.000 0.000
2 Mo 0.458 0.165 0.293
3 Mo 0.515 0.515 0.000
4 Mo 0.872 0.165 0.707
5 O 0.070 0.249 0.821
6 O 0.244 0.080 0.164
7 O 0.299 0.450 0.849
8 O 0.327 0.827 0.500
9 O 0.427 0.249 0.179
10 O 0.485 0.644 0.842
11 O 0.553 0.053 0.500
12 O 0.601 0.450 0.151
13 O 0.715 0.215 0.500
14 O 0.775 0.885 0.890
15 O 0.802 0.644 0.158
16 O 0.916 0.080 0.836
17 O 0.956 0.456 0.500
18 O 0.995 0.885 0.110

Largest 8 diffraction maxima, low angle first, 2θ = 15–90°:
2θ (°), I_rel
22.8, 100
24.2, 38
27.9, 52
28.7, 39
29.7, 54
31.5, 33
41.1, 26
51.5, 27

=====

Structure and computed PXRD pattern of Zn7Mo6O24 (a structure optimized by DFT (GGA+U); Cu Kα X-rays).

abc: 7.073 8.280 10.173
angles: 103.30 105.62 100.92
Fractional coordinates of all 37 atoms:
1 Zn 0.000 0.000 0.000
2 Zn 0.044 0.700 0.512
3 Zn 0.268 0.778 0.282
4 Zn 0.385 0.459 0.106
5 Zn 0.615 0.541 0.894
6 Zn 0.732 0.222 0.718
7 Zn 0.956 0.300 0.488
8 Mo 0.097 0.597 0.836
9 Mo 0.229 0.146 0.771
10 Mo 0.405 0.221 0.378
11 Mo 0.595 0.779 0.622
12 Mo 0.771 0.854 0.229
13 Mo 0.903 0.403 0.164
14 O 0.017 0.211 0.669
15 O 0.060 0.545 0.641
16 O 0.110 0.813 0.939
17 O 0.146 0.539 0.153
18 O 0.188 0.923 0.692
19 O 0.224 0.180 0.953
20 O 0.234 0.272 0.469
21 O 0.283 0.008 0.252
22 O 0.331 0.527 0.916
23 O 0.356 0.771 0.489
24 O 0.446 0.368 0.279
25 O 0.472 0.255 0.766
26 O 0.528 0.745 0.234
27 O 0.554 0.632 0.721
28 O 0.644 0.229 0.511
29 O 0.669 0.473 0.084
30 O 0.717 0.992 0.748
31 O 0.766 0.728 0.531
32 O 0.776 0.820 0.047
33 O 0.812 0.077 0.308
34 O 0.854 0.461 0.847
35 O 0.890 0.187 0.061
36 O 0.940 0.455 0.359
37 O 0.983 0.789 0.331

Largest 8 diffraction maxima, low angle first, 2θ = 15–90°:
2θ (°), I_rel
25.2, 30
25.7, 45
26.5, 41
27.4, 100
27.5, 93
28.6, 40
30.6, 31
52.0, 30